Entry 1:
Diffraction record for Rb2SO4. The PXRD pattern is computed, not measured: it uses a cell relaxed with GGA-PBE and copper Kα.
No peak broadening, texture or thermal motion is included.

Largest 10 diffraction maxima, by intensity, 5 to 70 degrees two-theta:
- 2θ = 28.0°, I = 100.0, (2 1 1)
- 2θ = 29.1°, I = 71.9, (0 1 3)
- 2θ = 29.4°, I = 50.3, (0 2 0)
- 2θ = 24.9°, I = 32.1, (1 1 2)
- 2θ = 41.0°, I = 24.4, (2 2 2)
- 2θ = 34.8°, I = 23.3, (3 0 1)
- 2θ = 40.7°, I = 18.0, (2 0 4)
- 2θ = 50.8°, I = 16.9, (3 1 4)
- 2θ = 46.2°, I = 12.1, (3 2 1)
- 2θ = 35.8°, I = 12.0, (1 2 2)

Cell and atoms:
Lattice parameters (Å, degrees): 7.976 6.078 10.655 90.00 90.00 90.00
Space group Pnma (No. 62)
One atom of each set of equivalent atoms:
1 Rb 0.008 0.250 0.200 [4 per cell]
2 Rb 0.174 0.750 0.412 [4 per cell]
3 S 0.235 0.750 0.082 [4 per cell]
4 O 0.048 0.750 0.084 [4 per cell]
5 O 0.200 0.049 0.647 [8 per cell]
6 O 0.202 0.250 0.449 [4 per cell]


Entry 2:
Diffraction record for Rb2SiS6O21. The PXRD pattern is computed, not measured: it uses a cell relaxed with GGA-PBE and copper Kα.
No peak broadening, texture or thermal motion is included.

Largest 10 diffraction maxima, by intensity, 5 to 70 degrees two-theta:
- 2θ = 26.1°, I = 100.0, (0 2 2)
- 2θ = 19.7°, I = 28.0, (1 1 1)
- 2θ = 21.0°, I = 24.3, (2 0 0)
- 2θ = 18.6°, I = 21.5, (1 0 2)
- 2θ = 32.0°, I = 18.5, (3 -1 2)
- 2θ = 31.7°, I = 13.9, (3 0 0)
- 2θ = 41.5°, I = 13.7, (1 3 2)
- 2θ = 42.2°, I = 11.3, (3 -2 4)
- 2θ = 15.4°, I = 10.9, (0 0 2)
- 2θ = 36.8°, I = 10.1, (2 2 0)

Cell and atoms:
Lattice parameters (Å, degrees): 9.7771 9.7771 11.5137 90.00 90.00 120.00
Space group P-3 (No. 147)
One atom of each set of equivalent atoms:
1 Rb 0.3333 0.6667 0.0650 [2 per cell]
2 Rb 0.3333 0.6667 0.6211 [2 per cell]
3 Si 0.0000 0.0000 0.2620 [2 per cell]
4 S 0.0872 0.3296 0.8379 [6 per cell]
5 S 0.1399 0.7999 0.3486 [6 per cell]
6 O 0.0149 0.6652 0.0751 [6 per cell]
7 O 0.0238 0.3479 0.7076 [6 per cell]
8 O 0.0694 0.1675 0.3561 [6 per cell]
9 O 0.0715 0.1673 0.8323 [6 per cell]
10 O 0.1433 0.7438 0.4627 [6 per cell]
11 O 0.1619 0.4290 0.2694 [6 per cell]
12 O 0.2034 0.7507 0.8349 [6 per cell]


Entry 3:
Diffraction record for RbTbS2O9. The PXRD pattern is computed, not measured: it uses a cell relaxed with GGA-PBE and copper Kα.
No peak broadening, texture or thermal motion is included.

Largest 10 diffraction maxima, by intensity, 5 to 70 degrees two-theta:
- 2θ = 14.1°, I = 100.0, (0 1 1)
- 2θ = 26.5°, I = 66.0, (1 2 1)
- 2θ = 28.7°, I = 52.0, (3 1 -2)
- 2θ = 27.4°, I = 34.5, (1 1 2)
- 2θ = 41.0°, I = 27.7, (3 2 1)
- 2θ = 28.5°, I = 20.8, (2 1 -3)
- 2θ = 19.5°, I = 19.3, (2 0 0)
- 2θ = 22.8°, I = 19.3, (0 2 1)
- 2θ = 25.3°, I = 18.4, (1 0 2)
- 2θ = 20.0°, I = 13.7, (1 1 -2)

Cell and atoms:
Lattice parameters (Å, degrees): 10.255 8.601 10.385 90.00 117.17 90.00
Space group P2_1/c (No. 14)
One atom of each set of equivalent atoms:
1 Rb 0.222 0.167 0.181 [4 per cell]
2 Tb 0.248 0.629 0.028 [4 per cell]
3 S 0.061 0.632 0.186 [4 per cell]
4 S 0.485 0.695 0.887 [4 per cell]
5 O 0.067 0.748 0.583 [4 per cell]
6 O 0.089 0.062 0.376 [4 per cell]
7 O 0.091 0.703 0.327 [4 per cell]
8 O 0.172 0.513 0.199 [4 per cell]
9 O 0.348 0.622 0.563 [4 per cell]
10 O 0.358 0.600 0.873 [4 per cell]
11 O 0.394 0.096 0.607 [4 per cell]
12 O 0.438 0.703 0.256 [4 per cell]
13 O 0.459 0.208 0.980 [4 per cell]